Entry 1:
Calculated X-ray diffraction stick pattern of Cs6K3Hg2 for Cu Kα X-rays, from a cell relaxed with PBE.

Main lines, low angle first (2θ = 5–70°):
d/Å	2θ (°)	I_rel
6.569	13.5	791
5.145	17.2	326
4.269	20.8	981
3.862	23.0	940
3.328	26.8	1000
3.224	27.7	231
2.969	30.1	254
2.744	32.6	736
2.354	38.2	385
2.061	43.9	277
2.010	45.1	301
1.787	51.1	419

Structure:
Unit cell a=20.805 b=20.805 c=20.805 alpha=161.59 beta=161.59 gamma=26.15
Fractional positions:
Cs: 0.087 0.587 0.500
Cs: 0.206 0.206 0.000
Cs: 0.413 0.913 0.500
Cs: 0.587 0.087 0.500
Cs: 0.794 0.794 0.000
Cs: 0.913 0.413 0.500
K: 0.324 0.324 0.000
K: 0.500 0.500 0.000
K: 0.676 0.676 0.000
Hg: 0.037 0.037 0.000
Hg: 0.963 0.963 0.000

---

Entry 2:
Calculated X-ray diffraction stick pattern of CaPtPb for Cu Kα X-rays, from a cell relaxed with PBE.

Main lines, low angle first (2θ = 5–70°):
d/Å	2θ (°)	I_rel
5.585	15.9	943
4.604	19.3	264
3.767	23.6	620
2.669	33.6	975
2.551	35.2	1000
2.450	36.7	492
2.439	36.9	745
2.321	38.8	411
2.056	44.0	416
1.944	46.7	399
1.638	56.1	282
1.504	61.7	335

Structure:
Unit cell a=5.585 b=8.132 c=6.553 alpha=90.00 beta=90.00 gamma=90.00
Fractional positions:
Ca: 0.157 0.100 0.250
Ca: 0.157 0.400 0.750
Ca: 0.843 0.600 0.250
Ca: 0.843 0.900 0.750
Pt: 0.338 0.053 0.750
Pt: 0.338 0.447 0.250
Pt: 0.662 0.553 0.750
Pt: 0.662 0.947 0.250
Pb: 0.348 0.750 0.000
Pb: 0.348 0.750 0.500
Pb: 0.652 0.250 0.000
Pb: 0.652 0.250 0.500

---

Entry 3:
Calculated X-ray diffraction stick pattern of Os5Rh for Cu Kα X-rays, from a cell relaxed with PBE.

Main lines, low angle first (2θ = 5–70°):
d/Å	2θ (°)	I_rel
4.351	20.4	9
4.126	21.5	24
2.994	29.8	20
2.382	37.8	248
2.176	41.5	250
2.089	43.3	1000
1.925	47.2	7
1.864	48.9	7
1.606	57.4	149
1.468	63.4	6
1.375	68.2	175

Structure:
Unit cell a=4.764 b=4.764 c=4.351 alpha=90.00 beta=90.00 gamma=120.00
Fractional positions:
Os: 0.000 0.665 0.000
Os: 0.333 0.667 0.500
Os: 0.335 0.335 0.000
Os: 0.665 0.000 0.000
Os: 0.667 0.333 0.500
Rh: 0.000 0.000 0.500

---

Entry 4:
Calculated X-ray diffraction stick pattern of KYInSe3 for Cu Kα X-rays, from a cell relaxed with PBE.

Main lines, low angle first (2θ = 5–70°):
d/Å	2θ (°)	I_rel
7.751	11.4	1000
3.604	24.7	153
3.342	26.7	282
2.906	30.8	924
2.827	31.6	305
2.534	35.4	115
2.353	38.3	167
2.222	40.6	119
2.062	43.9	168
2.050	44.2	449
2.002	45.3	147
1.658	55.4	119

Structure:
Unit cell a=8.631 b=4.094 c=11.315 alpha=90.00 beta=107.13 gamma=90.00
Fractional positions:
K: 0.230 0.250 0.265
K: 0.770 0.750 0.735
Y: 0.354 0.750 0.854
Y: 0.646 0.250 0.146
In: 0.134 0.250 0.578
In: 0.866 0.750 0.422
Se: 0.103 0.250 0.805
Se: 0.345 0.750 0.587
Se: 0.407 0.750 0.114
Se: 0.593 0.250 0.886
Se: 0.655 0.250 0.413
Se: 0.897 0.750 0.195

---

Entry 5:
Calculated X-ray diffraction stick pattern of KCdPb2F8 for Cu Kα X-rays, from a cell relaxed with PBE.

Main lines, low angle first (2θ = 5–70°):
d/Å	2θ (°)	I_rel
5.768	15.4	357
4.147	21.4	158
3.367	26.5	1000
3.327	26.8	971
2.906	30.8	355
2.884	31.0	173
2.595	34.6	189
2.073	43.7	211
2.047	44.3	792
2.036	44.5	189
1.760	52.0	316
1.743	52.5	461

Structure:
Unit cell a=4.147 b=5.768 c=8.145 alpha=90.00 beta=90.00 gamma=90.00
Fractional positions:
K: 0.000 0.000 0.000
Cd: 0.000 0.000 0.500
Pb: 0.500 0.500 0.252
Pb: 0.500 0.500 0.748
F: 0.000 0.260 0.278
F: 0.000 0.260 0.722
F: 0.000 0.740 0.278
F: 0.000 0.740 0.722
F: 0.500 0.239 0.500
F: 0.500 0.280 0.000
F: 0.500 0.720 0.000
F: 0.500 0.761 0.500

---

Entry 6:
Calculated X-ray diffraction stick pattern of TbEr2Tm5 for Cu Kα X-rays, from a cell relaxed with PBE.

Main lines, low angle first (2θ = 5–70°):
d/Å	2θ (°)	I_rel
2.852	31.4	1000
2.470	36.4	506
1.746	52.4	359
1.489	62.4	426
1.426	65.5	123

Structure:
Unit cell a=6.987 b=6.987 c=9.873 alpha=90.00 beta=90.00 gamma=90.00
Fractional positions:
Tb: 0.000 0.000 0.000
Tb: 0.500 0.500 0.500
Er: 0.000 0.500 0.000
Er: 0.000 0.500 0.500
Er: 0.500 0.000 0.000
Er: 0.500 0.000 0.500
Tm: 0.000 0.000 0.500
Tm: 0.250 0.250 0.250
Tm: 0.250 0.250 0.750
Tm: 0.250 0.750 0.250
Tm: 0.250 0.750 0.750
Tm: 0.500 0.500 0.000
Tm: 0.750 0.250 0.250
Tm: 0.750 0.250 0.750
Tm: 0.750 0.750 0.250
Tm: 0.750 0.750 0.750

---

Entry 7:
Calculated X-ray diffraction stick pattern of K2NaBeF5 for Cu Kα X-rays, from a cell relaxed with PBE.

Main lines, low angle first (2θ = 5–70°):
d/Å	2θ (°)	I_rel
5.966	14.8	278
4.861	18.3	95
2.980	30.0	538
2.733	32.8	1000
2.542	35.3	192
2.431	37.0	186
2.174	41.5	497
2.141	42.2	740
1.989	45.6	140
1.907	47.7	125
1.884	48.3	156
1.606	57.4	152

Structure:
Unit cell a=6.875 b=6.875 c=5.966 alpha=90.00 beta=90.00 gamma=90.00
Fractional positions:
K: 0.176 0.324 0.000
K: 0.324 0.824 0.000
K: 0.676 0.176 0.000
K: 0.824 0.676 0.000
Na: 0.000 0.000 0.500
Na: 0.500 0.500 0.500
Be: 0.000 0.500 0.500
Be: 0.500 0.000 0.500
F: 0.000 0.000 0.000
F: 0.121 0.621 0.307
F: 0.121 0.621 0.693
F: 0.379 0.121 0.307
F: 0.379 0.121 0.693
F: 0.500 0.500 0.000
F: 0.621 0.879 0.307
F: 0.621 0.879 0.693
F: 0.879 0.379 0.307
F: 0.879 0.379 0.693

---

Please write out number 5 again, unchanged.
Calculated X-ray diffraction stick pattern of KCdPb2F8 for Cu Kα X-rays, from a cell relaxed with PBE.

Main lines, low angle first (2θ = 5–70°):
d/Å	2θ (°)	I_rel
5.768	15.4	357
4.147	21.4	158
3.367	26.5	1000
3.327	26.8	971
2.906	30.8	355
2.884	31.0	173
2.595	34.6	189
2.073	43.7	211
2.047	44.3	792
2.036	44.5	189
1.760	52.0	316
1.743	52.5	461

Structure:
Unit cell a=4.147 b=5.768 c=8.145 alpha=90.00 beta=90.00 gamma=90.00
Fractional positions:
K: 0.000 0.000 0.000
Cd: 0.000 0.000 0.500
Pb: 0.500 0.500 0.252
Pb: 0.500 0.500 0.748
F: 0.000 0.260 0.278
F: 0.000 0.260 0.722
F: 0.000 0.740 0.278
F: 0.000 0.740 0.722
F: 0.500 0.239 0.500
F: 0.500 0.280 0.000
F: 0.500 0.720 0.000
F: 0.500 0.761 0.500